Structure and computed X-ray diffraction stick pattern of CaAs2F12 (a structure optimized by DFT (PBE); Cu Ka).
Peak positions follow from Bragg's law for the DFT cell and can differ from measured ones.

Structural model:
Cell lengths 5.490, 5.490, 7.662 Å; angles 90.00, 90.00, 90.00 degrees
Element x y z (fractional)
Ca 0.000 0.000 0.000
As 0.000 0.500 0.246
As 0.500 0.000 0.754
F 0.000 0.500 0.008
F 0.000 0.500 0.471
F 0.222 0.265 0.229
F 0.222 0.735 0.229
F 0.265 0.222 0.771
F 0.265 0.778 0.771
F 0.500 0.000 0.529
F 0.500 0.000 0.992
F 0.735 0.222 0.771
F 0.735 0.778 0.771
F 0.778 0.265 0.229
F 0.778 0.735 0.229

Principal peaks in the range 10° ≤ 2θ ≤ 80°, low angle first:
- d 7.662, 2θ 11.55, rel. 12, (0 0 1)
- d 4.462, 2θ 19.90, rel. 100, (1 0 1)
- d 3.882, 2θ 22.91, rel. 38, (1 1 0)
- d 3.831, 2θ 23.22, rel. 17, (0 0 2)
- d 2.338, 2θ 38.51, rel. 22, (2 1 1)
- d 1.941, 2θ 46.81, rel. 23, (2 2 0)